1.
The following is a simulated X-ray powder pattern of K4Pu3CrSe8. It was derived from a structure optimized by DFT (GGA-PBE), using Cu Kα (weighted mean of Kα1 and Kα2).
Lines closer than 0.1° are merged.

Crystal structure
```
data_K4Pu3CrSe8
_chemical_formula_sum 'K8 Pu6 Cr2 Se16'
_cell_length_a 14.5681
_cell_length_b 8.3728
_cell_length_c 9.0336
_cell_angle_alpha 90.00
_cell_angle_beta 122.46
_cell_angle_gamma 90.00
_symmetry_space_group_name_H-M 'C 1 2/m 1'
_symmetry_Int_Tables_number 12
loop_
_symmetry_equiv_pos_as_xyz
'x,y,z'
'-x,-y,-z'
'-x,y,-z'
'x,-y,z'
'x+1/2,y+1/2,z'
'-x+1/2,-y+1/2,-z'
'-x+1/2,y+1/2,-z'
'x+1/2,-y+1/2,z'
loop_
_atom_site_label
_atom_site_fract_x
_atom_site_fract_y
_atom_site_fract_z
K1 0.0000 0.0000 0.0000
K2 0.0000 0.5000 0.0000
K3 0.2500 0.2500 0.0000
Pu1 0.0000 0.0000 0.5000
Pu2 0.2500 0.2500 0.5000
Cr1 0.0000 0.5000 0.5000
Se1 0.0121 0.2661 0.3038
Se2 0.2202 0.5000 0.6945
Se3 0.2371 0.0000 0.7087
```

Main lines, by intensity (10 to 90 degrees two-theta):
two_theta	I/Imax	index
29.1	100	4 0 0
11.6	75	0 0 1
40.1	33	2 2 2
37.0	25	2 2 -3
43.1	25	6 2 -2
24.8	18	4 0 -1
50.6	14	4 0 -5
52.9	12	4 4 0
43.2	12	0 4 0
44.8	12	6 2 -3

***

2.
The following is a simulated X-ray powder pattern of SmY5Mg. It was derived from a structure optimized by DFT (GGA-PBE), using Cu Kα (weighted mean of Kα1 and Kα2).
Lines closer than 0.1° are merged.

Crystal structure
```
data_SmY5Mg
_chemical_formula_sum 'Sm4 Y20 Mg4'
_cell_length_a 11.8319
_cell_length_b 6.5789
_cell_length_c 11.9187
_cell_angle_alpha 90.00
_cell_angle_beta 104.02
_cell_angle_gamma 90.00
_symmetry_space_group_name_H-M 'C 1 2/c 1'
_symmetry_Int_Tables_number 15
loop_
_symmetry_equiv_pos_as_xyz
'x,y,z'
'-x,-y,-z'
'-x,y,-z+1/2'
'x,-y,z+1/2'
'x+1/2,y+1/2,z'
'-x+1/2,-y+1/2,-z'
'-x+1/2,y+1/2,-z+1/2'
'x+1/2,-y+1/2,z+1/2'
loop_
_atom_site_label
_atom_site_fract_x
_atom_site_fract_y
_atom_site_fract_z
Sm1 0.2500 0.2500 0.0000
Y1 0.0000 0.0614 0.7500
Y2 0.0442 0.2480 0.4814
Y3 0.2307 0.2503 0.2895
Mg1 0.0000 0.4997 0.2500
```

Main lines, by intensity (10 to 90 degrees two-theta):
two_theta	I/Imax	index
31.7	100	3 1 -3
30.9	56	0 0 4
31.3	53	2 2 0
31.2	51	4 0 0
27.1	51	0 2 0
29.6	48	3 1 1
29.5	42	1 1 3
41.7	23	4 2 0
36.8	22	2 2 2
41.6	20	0 2 4